No. 1
Calculated X-ray powder pattern
Compound: Tm2Re3Si5
Radiation: copper Kα
Structure: a cell relaxed with GGA-PBE

Main lines, in order of rising 2θ (10 to 80 degrees two-theta):
2θ 25.68, intensity 97, (3 1 0)
2θ 29.39, intensity 34, (3 0 1)
2θ 30.53, intensity 90, (3 1 1)
2θ 34.81, intensity 41, (1 1 2)
2θ 36.64, intensity 55, (4 2 0)
2θ 37.62, intensity 100, (4 1 1)
2θ 40.36, intensity 72, (2 2 2)
2θ 44.50, intensity 42, (4 3 1)
2θ 46.91, intensity 43, (4 0 2)
2θ 48.47, intensity 36, (3 3 2)

Structural model:
```
data_Tm2Re3Si5
_chemical_formula_sum 'Tm8 Re12 Si20'
_symmetry_space_group_name_H-M 'P 4/m n c'
_symmetry_Int_Tables_number 128
_symmetry_space_group_name_Hall '-P 4 2n'
_cell_length_a 10.969
_cell_length_b 10.969
_cell_length_c 5.465
_cell_angle_alpha 90.00
_cell_angle_beta 90.00
_cell_angle_gamma 90.00
loop_
_atom_site_label
_atom_site_type_symbol
_atom_site_fract_x
_atom_site_fract_y
_atom_site_fract_z
_atom_site_occupancy
Tm1 Tm 0.078 0.237 0.000 1
Re1 Re 0.000 0.500 0.250 1
Re2 Re 0.123 0.853 0.500 1
Si1 Si 0.000 0.000 0.238 1
Si2 Si 0.029 0.314 0.500 1
Si3 Si 0.172 0.672 0.250 1
```



No. 2
Calculated X-ray powder pattern
Compound: U2Re3Si5
Radiation: copper Kα
Structure: a cell relaxed with GGA-PBE

Main lines, in order of rising 2θ (10 to 80 degrees two-theta):
2θ 25.83, intensity 73, (3 1 0)
2θ 29.51, intensity 31, (3 0 1)
2θ 30.64, intensity 92, (3 1 1)
2θ 32.74, intensity 30, (0 0 2)
2θ 34.80, intensity 33, (1 1 2)
2θ 36.82, intensity 62, (4 2 0)
2θ 37.76, intensity 100, (4 1 1)
2θ 40.45, intensity 68, (2 2 2)
2θ 44.72, intensity 33, (4 3 1)
2θ 61.92, intensity 29, (7 0 1)

Structural model:
```
data_U2Re3Si5
_chemical_formula_sum 'U8 Re12 Si20'
_symmetry_space_group_name_H-M 'P 4/m n c'
_symmetry_Int_Tables_number 128
_symmetry_space_group_name_Hall '-P 4 2n'
_cell_length_a 10.907
_cell_length_b 10.907
_cell_length_c 5.470
_cell_angle_alpha 90.00
_cell_angle_beta 90.00
_cell_angle_gamma 90.00
loop_
_atom_site_label
_atom_site_type_symbol
_atom_site_fract_x
_atom_site_fract_y
_atom_site_fract_z
_atom_site_occupancy
U1 U 0.073 0.236 0.000 1
Re1 Re 0.000 0.500 0.250 1
Re2 Re 0.123 0.858 0.500 1
Si1 Si 0.000 0.000 0.222 1
Si2 Si 0.026 0.315 0.500 1
Si3 Si 0.175 0.675 0.250 1
```



No. 3
Calculated X-ray powder pattern
Compound: SrRe2
Radiation: copper Kα
Structure: a cell relaxed with GGA-PBE

Main lines, in order of rising 2θ (10 to 80 degrees two-theta):
2θ 19.66, intensity 42, (1 1 1)
2θ 32.38, intensity 10, (2 2 0)
2θ 38.17, intensity 100, (3 1 1)
2θ 39.94, intensity 66, (2 2 2)
2θ 46.45, intensity 19, (4 0 0)
2θ 50.90, intensity 11, (3 3 1)
2θ 57.76, intensity 4, (4 2 2)
2θ 61.63, intensity 33, (5 1 1)
2θ 67.80, intensity 32, (4 4 0)
2θ 71.36, intensity 8, (5 3 1)

Structural model:
Cell: 7.819 7.819 7.819 Å, 90.00 90.00 90.00°
Space group Fd-3m (No. 227, origin choice 2)
Symmetry-distinct sites (fractional):
Sr: 0.125 0.125 0.125
Re: 0.000 0.000 0.500



No. 4
Calculated X-ray powder pattern
Compound: Ta13Re16
Radiation: copper Kα
Structure: a cell relaxed with GGA-PBE

Main lines, in order of rising 2θ (10 to 80 degrees two-theta):
2θ 36.36, intensity 8, (4 0 0)
2θ 38.65, intensity 100, (4 1 1)
2θ 42.92, intensity 30, (3 3 2)
2θ 44.93, intensity 11, (4 2 2)
2θ 46.87, intensity 16, (4 3 1)
2θ 65.43, intensity 5, (4 4 4)
2θ 66.95, intensity 9, (5 5 0)
2θ 69.95, intensity 27, (7 2 1)
2θ 71.43, intensity 6, (6 4 2)
2θ 75.79, intensity 5, (6 5 1)

Structural model:
```
data_Ta13Re16
_chemical_formula_sum 'Ta26 Re32'
_symmetry_space_group_name_H-M 'I -4 3 m'
_symmetry_Int_Tables_number 217
_symmetry_space_group_name_Hall 'I -4 2 3'
_cell_length_a 9.883
_cell_length_b 9.883
_cell_length_c 9.883
_cell_angle_alpha 90.00
_cell_angle_beta 90.00
_cell_angle_gamma 90.00
loop_
_atom_site_label
_atom_site_type_symbol
_atom_site_fract_x
_atom_site_fract_y
_atom_site_fract_z
_atom_site_occupancy
Ta1 Ta 0.000 0.000 0.000 1
Ta2 Ta 0.046 0.359 0.641 1
Re1 Re 0.090 0.090 0.721 1
Re2 Re 0.176 0.176 0.176 1
```



No. 5
Calculated X-ray powder pattern
Compound: Ta2Re13
Radiation: copper Kα
Structure: a cell relaxed with GGA-PBE

Main lines, in order of rising 2θ (10 to 80 degrees two-theta):
2θ 36.04, intensity 20, (0 0 2)
2θ 38.49, intensity 85, (4 1 0)
2θ 39.65, intensity 39, (3 3 0)
2θ 40.76, intensity 33, (2 0 2)
2θ 41.87, intensity 64, (2 1 2)
2θ 42.70, intensity 100, (4 1 1)
2θ 43.77, intensity 45, (3 3 1)
2θ 68.03, intensity 20, (5 3 2)
2θ 69.39, intensity 24, (4 1 3)
2θ 71.18, intensity 17, (7 2 0)

Structural model:
```
data_Ta2Re13
_chemical_formula_sum 'Ta4 Re26'
_symmetry_space_group_name_H-M 'P 42/m n m'
_symmetry_Int_Tables_number 136
_symmetry_space_group_name_Hall '-P 4n 2n'
_cell_length_a 9.644
_cell_length_b 9.644
_cell_length_c 4.984
_cell_angle_alpha 90.00
_cell_angle_beta 90.00
_cell_angle_gamma 90.00
loop_
_atom_site_label
_atom_site_type_symbol
_atom_site_fract_x
_atom_site_fract_y
_atom_site_fract_z
_atom_site_occupancy
Ta1 Ta 0.106 0.106 0.000 1
Re1 Re 0.000 0.000 0.500 1
Re2 Re 0.035 0.369 0.000 1
Re3 Re 0.064 0.264 0.500 1
Re4 Re 0.183 0.817 0.248 1
```



No. 6
Calculated X-ray powder pattern
Compound: Ta7Re8
Radiation: copper Kα
Structure: a cell relaxed with GGA-PBE

Main lines, in order of rising 2θ (10 to 80 degrees two-theta):
2θ 35.03, intensity 21, (0 0 2)
2θ 37.75, intensity 85, (4 1 0)
2θ 38.88, intensity 36, (3 3 0)
2θ 39.68, intensity 34, (2 0 2)
2θ 40.77, intensity 70, (2 1 2)
2θ 41.80, intensity 100, (4 1 1)
2θ 42.85, intensity 51, (3 3 1)
2θ 66.40, intensity 21, (5 3 2)
2θ 67.45, intensity 32, (5 5 0)
2θ 69.66, intensity 18, (7 2 0)

Structural model:
```
data_Ta7Re8
_chemical_formula_sum 'Ta14 Re16'
_symmetry_space_group_name_H-M 'P 42/m n m'
_symmetry_Int_Tables_number 136
_symmetry_space_group_name_Hall '-P 4n 2n'
_cell_length_a 9.827
_cell_length_b 9.827
_cell_length_c 5.124
_cell_angle_alpha 90.00
_cell_angle_beta 90.00
_cell_angle_gamma 90.00
loop_
_atom_site_label
_atom_site_type_symbol
_atom_site_fract_x
_atom_site_fract_y
_atom_site_fract_z
_atom_site_occupancy
Ta1 Ta 0.000 0.000 0.000 1
Ta2 Ta 0.037 0.370 0.500 1
Ta3 Ta 0.102 0.102 0.500 1
Re1 Re 0.068 0.258 0.000 1
Re2 Re 0.183 0.817 0.253 1
```



No. 7
Calculated X-ray powder pattern
Compound: TaRe28
Radiation: copper Kα
Structure: a cell relaxed with GGA-PBE

Main lines, in order of rising 2θ (10 to 80 degrees two-theta):
2θ 37.51, intensity 7, (4 0 0)
2θ 39.87, intensity 100, (4 1 1)
2θ 44.29, intensity 28, (3 3 2)
2θ 46.38, intensity 10, (4 2 2)
2θ 48.39, intensity 17, (4 3 1)
2θ 67.67, intensity 6, (4 4 4)
2θ 69.27, intensity 10, (5 5 0)
2θ 72.40, intensity 26, (7 2 1)
2θ 73.95, intensity 6, (6 4 2)
2θ 78.52, intensity 5, (6 5 1)

Structural model:
```
data_TaRe28
_chemical_formula_sum 'Ta2 Re56'
_symmetry_space_group_name_H-M 'I -4 3 m'
_symmetry_Int_Tables_number 217
_symmetry_space_group_name_Hall 'I -4 2 3'
_cell_length_a 9.592
_cell_length_b 9.592
_cell_length_c 9.592
_cell_angle_alpha 90.00
_cell_angle_beta 90.00
_cell_angle_gamma 90.00
loop_
_atom_site_label
_atom_site_type_symbol
_atom_site_fract_x
_atom_site_fract_y
_atom_site_fract_z
_atom_site_occupancy
Ta1 Ta 0.000 0.000 0.000 1
Re1 Re 0.043 0.358 0.642 1
Re2 Re 0.091 0.091 0.715 1
Re3 Re 0.180 0.180 0.180 1
```